# 1
Computed X-ray powder pattern
Compound: Tc4O11
Radiation: copper Kα
Structure: DFT lattice parameters and positions (GGA-PBE)

```
data_Tc4O11
_chemical_formula_sum 'Tc4 O11'
_space_group_name_H-M_alt 'P 1'
_space_group_IT_number 1
_cell_length_a 4.708
_cell_length_b 5.363
_cell_length_c 8.735
_cell_angle_alpha 85.36
_cell_angle_beta 77.64
_cell_angle_gamma 79.24
loop_
_space_group_symop_operation_xyz
'x,y,z'
loop_
_atom_site_label
_atom_site_type_symbol
_atom_site_fract_x
_atom_site_fract_y
_atom_site_fract_z
Tc1 Tc 0.000 0.000 0.000
Tc2 Tc 0.014 0.522 0.843
Tc3 Tc 0.340 0.616 0.514
Tc4 Tc 0.569 0.034 0.315
O1 O 0.146 0.654 0.013
O2 O 0.197 0.943 0.468
O3 O 0.266 0.158 0.873
O4 O 0.422 0.564 0.710
O5 O 0.427 0.369 0.370
O6 O 0.554 0.960 0.121
O7 O 0.727 0.748 0.414
O8 O 0.745 0.344 0.944
O9 O 0.838 0.864 0.841
O10 O 0.945 0.116 0.201
O11 O 0.998 0.497 0.631
```

Most intense lines, 2θ from 10° to 90°, low angle first:
Position (°2θ)  I/Imax
19.44  44
20.24  100
20.84  19
24.05  14
28.28  18
34.07  16
34.76  17
35.25  14
43.35  14
44.45  14

# 2
Computed X-ray powder pattern
Compound: Tl2TcO4
Radiation: copper Kα
Structure: DFT lattice parameters and positions (GGA-PBE)

```
data_Tl2TcO4
_chemical_formula_sum 'Tl4 Tc2 O8'
_space_group_name_H-M_alt 'P 1'
_space_group_IT_number 1
_cell_length_a 7.157
_cell_length_b 7.157
_cell_length_c 7.157
_cell_angle_alpha 60.00
_cell_angle_beta 60.00
_cell_angle_gamma 60.00
loop_
_space_group_symop_operation_xyz
'x,y,z'
loop_
_atom_site_label
_atom_site_type_symbol
_atom_site_fract_x
_atom_site_fract_y
_atom_site_fract_z
Tl1 Tl 0.000 0.000 0.000
Tl2 Tl 0.000 0.000 0.500
Tl3 Tl 0.000 0.500 0.000
Tl4 Tl 0.500 0.000 0.000
Tc1 Tc 0.375 0.375 0.375
Tc2 Tc 0.625 0.625 0.625
O1 O 0.274 0.274 0.274
O2 O 0.274 0.274 0.678
O3 O 0.274 0.678 0.274
O4 O 0.322 0.726 0.726
O5 O 0.678 0.274 0.274
O6 O 0.726 0.322 0.726
O7 O 0.726 0.726 0.322
O8 O 0.726 0.726 0.726
```

Most intense lines, 2θ from 10° to 90°, low angle first:
Position (°2θ)  I/Imax
15.16  24
29.26  100
30.60  44
35.48  25
38.78  14
46.63  33
51.04  41
59.93  13
60.69  23
71.61  24

# 3
Computed X-ray powder pattern
Compound: TlTcO3
Radiation: copper Kα
Structure: DFT lattice parameters and positions (GGA-PBE)

```
data_TlTcO3
_chemical_formula_sum 'Tl1 Tc1 O3'
_space_group_name_H-M_alt 'P 1'
_space_group_IT_number 1
_cell_length_a 3.952
_cell_length_b 3.952
_cell_length_c 3.964
_cell_angle_alpha 90.00
_cell_angle_beta 90.00
_cell_angle_gamma 90.00
loop_
_space_group_symop_operation_xyz
'x,y,z'
loop_
_atom_site_label
_atom_site_type_symbol
_atom_site_fract_x
_atom_site_fract_y
_atom_site_fract_z
Tl1 Tl 0.000 0.000 0.000
Tc1 Tc 0.500 0.500 0.500
O1 O 0.000 0.500 0.500
O2 O 0.500 0.000 0.500
O3 O 0.500 0.500 0.000
```

Most intense lines, 2θ from 10° to 90°, low angle first:
Position (°2θ)  I/Imax
22.47  9
31.99  100
39.45  10
45.77  9
45.92  18
57.02  40
66.85  11
75.92  6
76.16  12
84.91  6